Starting from a structure optimized by DFT (PBE+U), the powder XRD pattern of LaMgFeCuO6 was calculated for λ = 1.5418 Å (Cu Kα).
No peak broadening, texture or thermal motion is included.

Largest 10 diffraction maxima, in order of falling intensity, 5 to 70 degrees two-theta:
2theta	I/Imax
31.99	100
33.05	79
19.80	73
48.67	41
33.27	35
34.48	31
44.58	26
20.67	25
56.75	21
59.54	18

Structure:
abc: 5.2079 5.3853 9.4647
angles: 90.00 120.79 90.00
Positions (direct):
La 0.0000 0.2065 0.0000
La 0.0000 0.7935 0.5000
Mg 0.5657 0.3076 0.5115
Mg 0.5657 0.6924 0.0115
Fe 0.2742 0.2577 0.7515
Fe 0.2742 0.7423 0.2515
Cu 0.7559 0.2465 0.2496
Cu 0.7559 0.7535 0.7496
O 0.1974 0.2318 0.5356
O 0.1974 0.7682 0.0356
O 0.4195 0.2959 0.9784
O 0.4195 0.7041 0.4784
O 0.5418 0.0494 0.3239
O 0.5418 0.9506 0.8239
O 0.6097 0.4971 0.8192
O 0.6097 0.5029 0.3192
O 0.9010 0.0460 0.6971
O 0.9010 0.9540 0.1971
O 0.9585 0.4778 0.1870
O 0.9585 0.5222 0.6870